Structure and computed powder diffraction line list of Ca3TlBi2 (a crystal structure in Alexandria, relaxed with PBE; Cu Kα (weighted mean of Kα1 and Kα2)).

Structure:
```
data_Ca3TlBi2
_cell_length_a 4.4706
_cell_length_b 4.9476
_cell_length_c 17.5403
_cell_angle_alpha 90.00
_cell_angle_beta 90.00
_cell_angle_gamma 90.00
_space_group_name_H-M_alt 'I m m m'
_space_group_IT_number 71
_space_group_name_Hall '-I 2 2'
loop_
_atom_site_label
_atom_site_type_symbol
_atom_site_fract_x
_atom_site_fract_y
_atom_site_fract_z
Ca1 Ca 0.0000 0.0000 0.0000
Ca2 Ca 0.0000 0.5000 0.1723
Tl1 Tl 0.0000 0.0000 0.5000
Bi1 Bi 0.0000 0.5000 0.3577
```

Peak list (10 most intense, 10 to 90 degrees two-theta, by angle)
h k l, 2θ/deg, I_rel
1 0 1, 20.50, 564
0 1 3, 23.56, 564
1 1 2, 28.78, 524
0 0 6, 30.58, 259
1 1 4, 33.89, 1000
0 2 0, 36.32, 271
2 0 0, 40.35, 243
1 0 7, 41.30, 211
2 1 3, 47.25, 194
1 1 10, 59.63, 198